SrLa7Cu4Sn4O24: calculated X-ray diffraction stick pattern (Cu Kα (weighted mean of Kα1 and Kα2)), based on a GGA-PBE-relaxed structure.
No peak broadening, texture or thermal motion is included.

Largest 10 diffraction maxima, sorted by position, 10° ≤ 2θ ≤ 90°:
index  Position (°2θ)  I (rel.)
2 0 -2  30.27  45.0
0 2 2  30.81  100.0
2 0 2  31.29  46.1
2 2 0  32.25  87.2
0 0 4  41.88  23.2
0 4 0  46.26  44.4
2 2 4  54.47  19.8
2 4 -2  56.31  18.1
2 4 2  56.93  19.5
4 2 2  57.20  17.2

Crystal structure
```
data_SrLa7Cu4Sn4O24
_cell_length_a 7.8600
_cell_length_b 7.8468
_cell_length_c 8.6321
_cell_angle_alpha 90.00
_cell_angle_beta 91.85
_cell_angle_gamma 90.00
_space_group_name_H-M_alt 'P 1 m 1'
_space_group_IT_number 6
_space_group_name_Hall 'P -2y'
loop_
_atom_site_label
_atom_site_type_symbol
_atom_site_fract_x
_atom_site_fract_y
_atom_site_fract_z
_atom_site_occupancy
Sr1 Sr 0.0000 0.0000 0.0000 1
La1 La 0.0032 0.0000 0.4394 1
La2 La 0.4348 0.5000 0.0181 1
La3 La 0.4346 0.5000 0.4655 1
La4 La 0.4858 0.0000 0.4276 1
La5 La 0.5125 0.0000 0.9839 1
La6 La 0.9233 0.5000 0.4775 1
La7 La 0.9487 0.5000 0.0336 1
Cu1 Cu 0.2186 0.2491 0.2294 1
Cu2 Cu 0.7189 0.2494 0.2296 1
Sn1 Sn 0.2167 0.2491 0.7321 1
Sn2 Sn 0.7188 0.2499 0.7326 1
O1 O 0.1655 0.3083 0.9593 1
O2 O 0.1893 0.5000 0.6436 1
O3 O 0.1984 0.0000 0.2279 1
O4 O 0.2478 0.5000 0.2433 1
O5 O 0.2507 0.0000 0.8145 1
O6 O 0.2760 0.1995 0.5032 1
O7 O 0.4692 0.3005 0.8017 1
O8 O 0.4696 0.2186 0.1922 1
O9 O 0.6368 0.0000 0.6921 1
O10 O 0.6647 0.3036 0.5006 1
O11 O 0.6884 0.5000 0.2039 1
O12 O 0.7461 0.0000 0.2667 1
O13 O 0.7620 0.2041 0.9648 1
O14 O 0.8040 0.5000 0.7682 1
O15 O 0.9657 0.2041 0.6533 1
O16 O 0.9678 0.2829 0.2706 1
```